[1]
Diffraction record for Bi2Se3. The X-ray powder pattern is calculated, not measured: it uses the GGA-PBE geometry in the Materials Project and CuKα.
No peak broadening, texture or thermal motion is included.

a = 4.1898 Å, b = 4.1898 Å, c = 30.4112 Å
α = 90.00°, β = 90.00°, γ = 120.00°
Space group R-3m (No. 166, hexagonal axes)
One atom of each set of equivalent atoms:
Bi  0.0000  0.0000  0.1027 x6
Se  0.0000  0.0000  0.2821 x6
Se  0.0000  0.0000  0.5000 x3

Main lines, sorted by position (2θ from 10° to 90°):
17.50°, I = 22, hkl 0 0 6
24.71°, I = 17, hkl 1 0 1
28.65°, I = 100, hkl 0 1 5
38.63°, I = 36, hkl 1 0 10
43.18°, I = 36, hkl 1 1 0
52.65°, I = 19, hkl 2 0 5

=====

[2]
Diffraction record for PbN2F6. The X-ray powder pattern is calculated, not measured: it uses the GGA-PBE geometry in the Materials Project and CuKα.
No peak broadening, texture or thermal motion is included.

a = 5.5074 Å, b = 5.5074 Å, c = 5.2228 Å
α = 90.00°, β = 90.00°, γ = 120.00°
Space group P-3m1 (No. 164)
One atom of each set of equivalent atoms:
Pb  0.0000  0.0000  0.0000 x1
N  0.3333  0.6667  0.3315 x2
F  0.1750  0.3499  0.7556 x6

Main lines, sorted by position (2θ from 10° to 90°):
16.98°, I = 34, hkl 0 0 1
18.60°, I = 92, hkl 1 0 0
25.29°, I = 100, hkl 1 0 1
36.90°, I = 31, hkl 1 1 1
39.34°, I = 28, hkl 1 0 2
41.63°, I = 35, hkl 2 0 1

=====

[3]
Diffraction record for Sc3Cd. The X-ray powder pattern is calculated, not measured: it uses the GGA-PBE geometry in the Materials Project and CuKα.
No peak broadening, texture or thermal motion is included.

a = 6.4018 Å, b = 6.4018 Å, c = 5.2526 Å
α = 90.00°, β = 90.00°, γ = 120.00°
Space group P6_3/mmc (No. 194)
One atom of each set of equivalent atoms:
Sc  0.1690  0.3380  0.2500 x6
Cd  0.3333  0.6667  0.7500 x2

Main lines, sorted by position (2θ from 10° to 90°):
23.33°, I = 24, hkl 1 0 1
32.29°, I = 24, hkl 2 0 0
34.14°, I = 27, hkl 0 0 2
36.66°, I = 100, hkl 2 0 1
62.77°, I = 19, hkl 2 0 3
68.68°, I = 19, hkl 2 2 2

=====

[4]
Diffraction record for Rb2NaEuCl6. The X-ray powder pattern is calculated, not measured: it uses the GGA-PBE geometry in the Materials Project and CuKα.
No peak broadening, texture or thermal motion is included.

a = 10.9180 Å, b = 10.9180 Å, c = 10.9180 Å
α = 90.00°, β = 90.00°, γ = 90.00°
Space group Fm-3m (No. 225)
One atom of each set of equivalent atoms:
Rb  0.2500  0.2500  0.2500 x8
Na  0.0000  0.0000  0.0000 x4
Eu  0.0000  0.0000  0.5000 x4
Cl  0.0000  0.0000  0.2521 x24

Main lines, sorted by position (2θ from 10° to 90°):
14.05°, I = 45, hkl 1 1 1
23.04°, I = 100, hkl 2 2 0
27.09°, I = 28, hkl 3 1 1
32.81°, I = 87, hkl 4 0 0
40.48°, I = 48, hkl 4 2 2
47.09°, I = 59, hkl 4 4 0

=====

Copy entry 2 word for word.
Diffraction record for PbN2F6. The X-ray powder pattern is calculated, not measured: it uses the GGA-PBE geometry in the Materials Project and CuKα.
No peak broadening, texture or thermal motion is included.

a = 5.5074 Å, b = 5.5074 Å, c = 5.2228 Å
α = 90.00°, β = 90.00°, γ = 120.00°
Space group P-3m1 (No. 164)
One atom of each set of equivalent atoms:
Pb  0.0000  0.0000  0.0000 x1
N  0.3333  0.6667  0.3315 x2
F  0.1750  0.3499  0.7556 x6

Main lines, sorted by position (2θ from 10° to 90°):
16.98°, I = 34, hkl 0 0 1
18.60°, I = 92, hkl 1 0 0
25.29°, I = 100, hkl 1 0 1
36.90°, I = 31, hkl 1 1 1
39.34°, I = 28, hkl 1 0 2
41.63°, I = 35, hkl 2 0 1

=====

Repeat the second record exactly.
Diffraction record for PbN2F6. The X-ray powder pattern is calculated, not measured: it uses the GGA-PBE geometry in the Materials Project and CuKα.
No peak broadening, texture or thermal motion is included.

a = 5.5074 Å, b = 5.5074 Å, c = 5.2228 Å
α = 90.00°, β = 90.00°, γ = 120.00°
Space group P-3m1 (No. 164)
One atom of each set of equivalent atoms:
Pb  0.0000  0.0000  0.0000 x1
N  0.3333  0.6667  0.3315 x2
F  0.1750  0.3499  0.7556 x6

Main lines, sorted by position (2θ from 10° to 90°):
16.98°, I = 34, hkl 0 0 1
18.60°, I = 92, hkl 1 0 0
25.29°, I = 100, hkl 1 0 1
36.90°, I = 31, hkl 1 1 1
39.34°, I = 28, hkl 1 0 2
41.63°, I = 35, hkl 2 0 1